The following is a theoretical powder XRD pattern of Li3Mn2Si2O8. It was derived from the GGA+U geometry in Alexandria, using Cu Kα (weighted mean of Kα1 and Kα2).
No peak broadening, texture or thermal motion is included.

```
Li3Mn2Si2O8
1.0
5.283 0.000 0.000
0.000 10.833 0.000
-0.111 0.000 6.314
Li Mn Si O
6 4 4 16
direct
0.032 0.000 0.248
0.045 0.001 0.764
0.458 0.339 0.759
0.542 0.839 0.241
0.955 0.501 0.236
0.968 0.500 0.752
0.074 0.252 0.026
0.438 0.089 0.516
0.562 0.589 0.484
0.926 0.752 0.974
0.053 0.753 0.484
0.437 0.597 0.989
0.563 0.097 0.011
0.947 0.253 0.516
0.006 0.332 0.305
0.063 0.109 0.501
0.066 0.327 0.723
0.127 0.582 0.994
0.360 0.734 0.449
0.430 0.030 0.799
0.455 0.023 0.226
0.467 0.239 0.015
0.533 0.739 0.985
0.545 0.523 0.774
0.570 0.530 0.201
0.640 0.234 0.551
0.873 0.082 0.006
0.934 0.827 0.277
0.937 0.609 0.499
0.994 0.832 0.695
```

Main lines, by intensity (2θ from 10° to 90°):
d [Å]	I/Imax	(hkl)
3.780	100.0	1 2 0
5.416	59.6	0 2 0
2.728	44.0	0 2 2
2.707	35.9	0 4 0
2.641	35.5	2 0 0
3.157	33.3	0 0 2
1.567	20.9	0 6 2
2.685	17.0	1 3 1
1.913	11.2	2 2 -2
1.541	10.5	3 3 -1